Starting from a structure optimized by DFT (GGA+U), the powder XRD pattern of CsCdMoO4 was computed for a wavelength of 1.5418 Å.
Peak positions follow from Bragg's law for the DFT cell and can differ from measured ones.

Largest 10 diffraction maxima, by intensity, 2θ from 10° to 80°:
h k l  Position (°2θ)  intensity
1 1 1  25.25  100
1 0 -2  23.43  75
0 1 3  34.07  45
2 1 -1  35.34  44
0 2 0  29.11  43
1 2 -2  37.69  40
2 3 -1  55.76  22
1 3 1  49.31  16
2 2 -4  57.05  15
1 1 -5  54.04  11

```
CsCdMoO4
1.0
5.625 0.000 0.000
0.000 6.136 0.000
-1.700 0.000 8.738
Cs Cd Mo O
2 2 2 8
Direct
0.201 0.250 0.099 Cs
0.799 0.750 0.901 Cs
0.147 0.750 0.563 Cd
0.853 0.250 0.437 Cd
0.447 0.250 0.711 Mo
0.553 0.750 0.289 Mo
0.260 0.750 0.171 O
0.294 0.007 0.760 O
0.294 0.493 0.760 O
0.476 0.250 0.512 O
0.524 0.750 0.488 O
0.706 0.507 0.240 O
0.706 0.993 0.240 O
0.740 0.250 0.829 O
```